Ba2CuP2Au: simulated X-ray diffraction stick pattern (Cu Kα, 1.54184 Å), based on a PBE-relaxed structure.
Kinematic intensities with the Lorentz-polarization factor, no thermal factor.

Structural model:
Cell: 4.3512 4.3512 9.1739 Å, 90.00 90.00 120.00°
Space group P-6m2 (No. 187)
Unique sites:
Ba: 0.0000 0.0000 0.2445 x2
Cu: 0.6667 0.3333 0.0000 x1
P: 0.3333 0.6667 0.0000 x1
P: 0.6667 0.3333 0.5000 x1
Au: 0.3333 0.6667 0.5000 x1

Most intense lines, 2θ = 5–70°, in order of rising 2θ:
25.6 deg, I = 292
30.7 deg, I = 1000
41.5 deg, I = 392
52.5 deg, I = 218
58.5 deg, I = 280
69.0 deg, I = 194